1.
Diffraction record for V3GaH3. The X-ray diffraction stick pattern is calculated, not measured: it uses a crystal structure in Alexandria, relaxed with PBE and Cu Kα, 1.54184 Å.

Main lines, in order of rising 2θ (2θ from 10° to 80°):
d [Å], two_theta, Rel. int.
3.538, 25.17, 62
2.502, 35.90, 467
2.238, 40.31, 805
2.043, 44.35, 1000
1.769, 51.67, 12
1.582, 58.32, 18
1.444, 64.52, 34
1.388, 67.50, 154
1.337, 70.41, 459
1.251, 76.10, 144

Structural model:
```
14
Lattice="5.0033 0.0000 0.0000 0.0000 5.0033 0.0000 0.0000 0.0000 5.0033" Properties=species:S:1:pos:R:3 pbc="T T T"
V 0.0000 1.2508 2.5016
V 0.0000 3.7525 2.5016
V 1.2508 2.5016 0.0000
V 2.5016 0.0000 1.2508
V 2.5016 0.0000 3.7525
V 3.7525 2.5016 0.0000
Ga 0.0000 0.0000 0.0000
Ga 2.5016 2.5016 2.5016
H 0.0000 2.5016 1.2508
H 0.0000 2.5016 3.7525
H 1.2508 0.0000 2.5016
H 2.5016 1.2508 0.0000
H 2.5016 3.7525 0.0000
H 3.7525 0.0000 2.5016
```

2.
Diffraction record for BaBF5. The X-ray diffraction stick pattern is calculated, not measured: it uses a crystal structure in Alexandria, relaxed with PBE and Cu Kα, 1.54184 Å.

Main lines, in order of rising 2θ (2θ from 10° to 80°):
d [Å], two_theta, Rel. int.
5.375, 16.49, 367
4.139, 21.47, 452
3.893, 22.84, 386
3.279, 27.19, 1000
3.153, 28.31, 187
2.688, 33.34, 206
2.292, 39.31, 333
2.254, 40.00, 330
2.224, 40.56, 273
2.212, 40.80, 338
2.108, 42.90, 326
1.931, 47.05, 319

Structural model:
```
14
Lattice="5.3751 0.0000 0.0000 0.0000 4.8869 0.0000 0.0000 0.0000 7.7854" Properties=species:S:1:pos:R:3 pbc="T T T"
Ba 0.0000 0.0000 0.0000
Ba 0.0000 2.4435 3.8927
B 2.6876 0.0000 3.1847
B 2.6876 2.4435 7.0774
F 0.0000 0.0000 5.1357
F 0.0000 2.4435 1.2430
F 1.5077 0.0000 2.3932
F 1.5077 2.4435 6.2860
F 2.6876 1.1628 3.9738
F 2.6876 1.2807 0.0811
F 2.6876 3.6062 0.0811
F 2.6876 3.7242 3.9738
F 3.8674 0.0000 2.3932
F 3.8674 2.4435 6.2860
```

3.
Diffraction record for Zr6CoCl15. The X-ray diffraction stick pattern is calculated, not measured: it uses a crystal structure in Alexandria, relaxed with PBE and Cu Kα, 1.54184 Å.

Main lines, in order of rising 2θ (2θ from 10° to 80°):
d [Å], two_theta, Rel. int.
7.350, 12.04, 1000
5.197, 17.06, 173
4.244, 20.93, 188
3.287, 27.13, 154
2.778, 32.22, 194
2.599, 34.51, 843
2.450, 36.68, 138
2.039, 44.44, 197
1.838, 49.61, 542
1.604, 57.45, 107
1.500, 61.84, 175
1.470, 63.26, 83

Structural model:
```
22
Lattice="-5.1975 5.1975 5.1975 5.1975 -5.1975 5.1975 5.1975 5.1975 -5.1975" Properties=species:S:1:pos:R:3 pbc="T T T"
Zr 2.4800 0.0000 0.0000
Zr 7.9150 0.0000 0.0000
Zr 0.0000 2.4800 0.0000
Zr 0.0000 0.0000 2.4800
Zr 0.0000 7.9150 0.0000
Zr 0.0000 0.0000 7.9150
Co 0.0000 0.0000 0.0000
Cl 5.1975 2.6431 -2.6431
Cl 5.1975 0.0000 0.0000
Cl 5.1975 -2.6431 2.6431
Cl 2.6431 5.1975 -2.6431
Cl 2.5544 2.5544 0.0000
Cl 2.5544 0.0000 2.5544
Cl 2.6431 -2.6431 5.1975
Cl 0.0000 2.5544 2.5544
Cl 0.0000 5.1975 0.0000
Cl 0.0000 0.0000 5.1975
Cl 5.1975 2.6431 2.6431
Cl -2.6431 5.1975 2.6431
Cl -2.6431 2.6431 5.1975
Cl 2.6431 5.1975 2.6431
Cl 2.6431 2.6431 5.1975
```

4.
Diffraction record for TbTh6N8. The X-ray diffraction stick pattern is calculated, not measured: it uses a crystal structure in Alexandria, relaxed with PBE and Cu Kα, 1.54184 Å.

Main lines, in order of rising 2θ (2θ from 10° to 80°):
d [Å], two_theta, Rel. int.
5.910, 14.99, 79
5.119, 17.32, 121
3.619, 24.60, 107
3.087, 28.93, 42
2.955, 30.24, 1000
2.559, 35.06, 686
2.289, 39.36, 66
2.090, 43.30, 51
1.810, 50.43, 489
1.543, 59.94, 474
1.478, 62.90, 168
1.280, 74.09, 78

Structural model:
```
15
Lattice="0.0000 5.1186 5.1186 5.1186 0.0000 5.1186 5.1186 5.1186 0.0000" Properties=species:S:1:pos:R:3 pbc="T T T"
Tb 0.0000 0.0000 0.0000
Th 2.5593 2.5593 0.0000
Th 2.5593 0.0000 2.5593
Th 5.1186 2.5593 2.5593
Th 0.0000 2.5593 2.5593
Th 2.5593 5.1186 2.5593
Th 2.5593 2.5593 5.1186
N 5.1186 5.1186 2.3946
N 5.1186 2.3946 5.1186
N 7.8427 5.1186 5.1186
N 2.5593 2.5593 2.5593
N 7.6779 7.6779 7.6779
N 2.3946 5.1186 5.1186
N 5.1186 7.8427 5.1186
N 5.1186 5.1186 7.8427
```